Record 1
Starting from DFT lattice parameters and positions (PBE), the powder XRD pattern of KGeIrAu was calculated for Cu Kα (λ = 1.5418 Å).
Intensities are scaled so that the largest is 1000.

Peak list (10 most intense, 10 to 90 degrees two-theta, most intense first)
d_spacing, I_rel
6.278, 1000
2.570, 663
2.096, 449
1.681, 325
1.992, 227
1.899, 200
3.139, 193
2.817, 176
1.169, 164
1.235, 135

Atomic structure:
Cell lengths 3.9839, 3.9839, 12.5570 Å; angles 90.00, 90.00, 90.00 degrees
Positions (direct):
K  0.2500  0.2500  0.2269
K  0.7500  0.7500  0.7731
Ge  0.2500  0.2500  0.6181
Ge  0.7500  0.7500  0.3819
Ir  0.2500  0.7500  0.5000
Ir  0.7500  0.2500  0.5000
Au  0.2500  0.7500  0.0000
Au  0.7500  0.2500  0.0000

***

Record 2
Starting from DFT lattice parameters and positions (PBE), the powder XRD pattern of Dy4Y9Pu was calculated for Cu Kα (λ = 1.5418 Å).
Intensities are scaled so that the largest is 1000.

Peak list (10 most intense, 10 to 90 degrees two-theta, most intense first)
d_spacing, I_rel
2.766, 1000
2.730, 284
2.753, 212
3.947, 210
1.975, 146
1.735, 145
1.627, 132
1.401, 128
1.616, 122
1.147, 106

Atomic structure:
Cell lengths 9.7630, 9.7630, 11.0107 Å; angles 90.00, 90.00, 120.00 degrees
Positions (direct):
Dy  0.0000  0.0000  0.0000
Dy  0.0000  0.0000  0.5000
Dy  0.1122  0.2244  0.2500
Dy  0.1122  0.8878  0.2500
Dy  0.2244  0.1122  0.7500
Dy  0.7756  0.8878  0.2500
Dy  0.8878  0.1122  0.7500
Dy  0.8878  0.7756  0.7500
Y  0.0743  0.5371  0.2500
Y  0.2096  0.4192  0.5343
Y  0.2096  0.4192  0.9657
Y  0.2096  0.7904  0.5343
Y  0.2096  0.7904  0.9657
Y  0.4192  0.2096  0.0343
Y  0.4192  0.2096  0.4657
Y  0.4629  0.5371  0.2500
Y  0.4629  0.9257  0.2500
Y  0.5371  0.0743  0.7500
Y  0.5371  0.4629  0.7500
Y  0.5808  0.7904  0.5343
Y  0.5808  0.7904  0.9657
Y  0.7904  0.2096  0.0343
Y  0.7904  0.2096  0.4657
Y  0.7904  0.5808  0.0343
Y  0.7904  0.5808  0.4657
Y  0.9257  0.4629  0.7500
Pu  0.3333  0.6667  0.7500
Pu  0.6667  0.3333  0.2500

***

Record 3
Starting from DFT lattice parameters and positions (PBE), the powder XRD pattern of SbAsPCl13 was calculated for Cu Kα (λ = 1.5418 Å).
Intensities are scaled so that the largest is 1000.

Peak list (10 most intense, 10 to 90 degrees two-theta, most intense first)
d_spacing, I_rel
7.281, 1000
4.895, 789
5.433, 684
3.060, 476
3.641, 388
6.114, 385
5.069, 365
1.900, 336
4.539, 315
3.045, 256

Atomic structure:
Cell lengths 9.8473, 9.8473, 12.2285 Å; angles 90.00, 90.00, 113.03 degrees
Positions (direct):
Sb  0.2150  0.7850  0.5000
Sb  0.7850  0.2150  0.0000
As  0.4354  0.5646  0.6421
As  0.5646  0.4354  0.1421
P  0.1394  0.8606  0.9615
P  0.8606  0.1394  0.4615
Cl  0.0060  0.6789  0.3813
Cl  0.0633  0.2306  0.4073
Cl  0.0908  0.9092  0.6050
Cl  0.1122  0.5730  0.6226
Cl  0.1389  0.8611  0.1218
Cl  0.2306  0.0633  0.9073
Cl  0.2520  0.7480  0.9102
Cl  0.3211  0.9940  0.3813
Cl  0.3239  0.3650  0.1144
Cl  0.3442  0.6558  0.4032
Cl  0.3650  0.3239  0.6145
Cl  0.4270  0.8878  0.6226
Cl  0.4379  0.5621  0.8250
Cl  0.5621  0.4379  0.3250
Cl  0.5730  0.1122  0.1226
Cl  0.6350  0.6761  0.1144
Cl  0.6558  0.3442  0.9032
Cl  0.6761  0.6350  0.6145
Cl  0.6789  0.0060  0.8813
Cl  0.7480  0.2520  0.4102
Cl  0.7694  0.9367  0.4073
Cl  0.8611  0.1389  0.6218
Cl  0.8878  0.4270  0.1226
Cl  0.9092  0.0908  0.1050
Cl  0.9367  0.7694  0.9073
Cl  0.9940  0.3211  0.8813

***

Record 4
Starting from DFT lattice parameters and positions (PBE), the powder XRD pattern of HfVRe was calculated for Cu Kα (λ = 1.5418 Å).
Intensities are scaled so that the largest is 1000.

Peak list (10 most intense, 10 to 90 degrees two-theta, most intense first)
d_spacing, I_rel
2.230, 1000
2.607, 777
2.224, 708
1.420, 345
1.305, 273
2.136, 221
4.265, 218
2.127, 213
3.689, 148
1.508, 133

Atomic structure:
Cell lengths 5.2203, 5.2203, 5.2203 Å; angles 120.16, 119.76, 90.07 degrees
Positions (direct):
Hf  0.3756  0.1256  0.2500
Hf  0.6244  0.8744  0.7500
V  0.0000  0.0000  0.5000
V  0.0000  0.5000  0.0000
Re  0.0000  0.5000  0.5000
Re  0.5000  0.5000  0.0000

***

Record 5
Starting from DFT lattice parameters and positions (PBE), the powder XRD pattern of Dy7Co2Sb2 was calculated for Cu Kα (λ = 1.5418 Å).
Intensities are scaled so that the largest is 1000.

Peak list (10 most intense, 10 to 90 degrees two-theta, most intense first)
d_spacing, I_rel
2.611, 1000
2.775, 954
2.892, 536
3.035, 522
2.575, 442
2.333, 374
1.535, 320
2.664, 281
1.843, 269
2.438, 257

Atomic structure:
Cell lengths 9.5403, 9.5403, 9.5403 Å; angles 157.72, 66.23, 118.53 degrees
Positions (direct):
Dy  0.0000  0.0000  0.0000
Dy  0.3026  0.4330  0.8696
Dy  0.3119  0.6280  0.6840
Dy  0.5634  0.4330  0.1304
Dy  0.6277  0.2802  0.3476
Dy  0.9326  0.2802  0.6524
Dy  0.9440  0.6280  0.3160
Co  0.1781  0.9391  0.2390
Co  0.7001  0.9391  0.7610
Sb  0.2645  0.7645  0.5000
Sb  0.6765  0.6765  0.0000

***

Record 6
Starting from DFT lattice parameters and positions (PBE), the powder XRD pattern of Al3V12Au was calculated for Cu Kα (λ = 1.5418 Å).
Intensities are scaled so that the largest is 1000.

Peak list (10 most intense, 10 to 90 degrees two-theta, most intense first)
d_spacing, I_rel
2.166, 1000
1.975, 987
1.969, 924
1.964, 886
2.147, 877
2.159, 866
4.809, 605
4.331, 499
3.222, 499
2.427, 444

Atomic structure:
Cell lengths 4.8206, 4.8537, 9.5920 Å; angles 90.00, 90.00, 90.00 degrees
Positions (direct):
Al  0.0000  0.0000  0.0000
Al  0.5000  0.5000  0.2488
Al  0.5000  0.5000  0.7512
V  0.0000  0.2536  0.2458
V  0.0000  0.2536  0.7542
V  0.0000  0.7464  0.2458
V  0.0000  0.7464  0.7542
V  0.2405  0.5000  0.0000
V  0.2513  0.5000  0.5000
V  0.5000  0.0000  0.1305
V  0.5000  0.0000  0.3755
V  0.5000  0.0000  0.6245
V  0.5000  0.0000  0.8695
V  0.7487  0.5000  0.5000
V  0.7595  0.5000  0.0000
Au  0.0000  0.0000  0.5000

***

Record 7
Starting from DFT lattice parameters and positions (PBE), the powder XRD pattern of La4Sc5 was calculated for Cu Kα (λ = 1.5418 Å).
Intensities are scaled so that the largest is 1000.

Peak list (10 most intense, 10 to 90 degrees two-theta, most intense first)
d_spacing, I_rel
2.750, 1000
2.776, 895
3.907, 462
1.954, 298
1.593, 295
1.451, 265
1.588, 162
2.142, 152
1.163, 113
4.126, 112

Atomic structure:
Cell lengths 9.5280, 9.5280, 6.8301 Å; angles 90.00, 90.00, 120.00 degrees
Positions (direct):
La  0.0000  0.0000  0.0000
La  0.0000  0.0000  0.5000
La  0.0000  0.3539  0.2500
La  0.0000  0.6461  0.7500
La  0.3539  0.0000  0.2500
La  0.3539  0.3539  0.7500
La  0.6461  0.0000  0.7500
La  0.6461  0.6461  0.2500
Sc  0.0000  0.3269  0.7500
Sc  0.0000  0.6731  0.2500
Sc  0.3269  0.0000  0.7500
Sc  0.3269  0.3269  0.2500
Sc  0.3333  0.6667  0.0000
Sc  0.3333  0.6667  0.5000
Sc  0.6667  0.3333  0.0000
Sc  0.6667  0.3333  0.5000
Sc  0.6731  0.0000  0.2500
Sc  0.6731  0.6731  0.7500

***

Record 8
Starting from DFT lattice parameters and positions (PBE), the powder XRD pattern of TbTm2N3 was calculated for Cu Kα (λ = 1.5418 Å).
Intensities are scaled so that the largest is 1000.

Peak list (7 most intense, 10 to 90 degrees two-theta, most intense first)
d_spacing, I_rel
2.805, 1000
2.429, 705
1.718, 484
1.465, 444
1.114, 194
1.402, 162
1.214, 76

Atomic structure:
Cell lengths 5.9496, 5.9496, 5.9494 Å; angles 99.59, 99.59, 120.00 degrees
Positions (direct):
Tb  0.1667  0.8333  0.0000
Tb  0.8333  0.1667  0.0000
Tm  0.0000  0.0000  0.5000
Tm  0.3339  0.6661  0.5000
Tm  0.5000  0.5000  0.0000
Tm  0.6661  0.3339  0.5000
N  0.0857  0.4154  0.7462
N  0.2549  0.2549  0.2538
N  0.4154  0.0857  0.7462
N  0.5846  0.9143  0.2538
N  0.7451  0.7451  0.7462
N  0.9143  0.5846  0.2538

***

Record 9
Starting from DFT lattice parameters and positions (PBE), the powder XRD pattern of Li8Pt2Pb was calculated for Cu Kα (λ = 1.5418 Å).
Intensities are scaled so that the largest is 1000.

Peak list (10 most intense, 10 to 90 degrees two-theta, most intense first)
d_spacing, I_rel
3.566, 1000
4.018, 510
2.007, 401
3.344, 365
2.222, 328
2.316, 280
1.518, 224
5.516, 155
1.884, 151
2.127, 143

Atomic structure:
Cell lengths 6.8238, 6.8238, 4.2661 Å; angles 90.00, 90.00, 107.86 degrees
Positions (direct):
Li  0.1533  0.1533  0.0000
Li  0.1833  0.4661  0.5000
Li  0.2418  0.7582  0.0000
Li  0.4661  0.1833  0.5000
Li  0.5339  0.8167  0.5000
Li  0.7582  0.2418  0.0000
Li  0.8167  0.5339  0.5000
Li  0.8467  0.8467  0.0000
Pt  0.1200  0.8800  0.5000
Pt  0.8800  0.1200  0.5000
Pb  0.5000  0.5000  0.0000

***

Record 10
Starting from DFT lattice parameters and positions (PBE), the powder XRD pattern of PaGeSb2N was calculated for Cu Kα (λ = 1.5418 Å).
Intensities are scaled so that the largest is 1000.

Peak list (10 most intense, 10 to 90 degrees two-theta, most intense first)
d_spacing, I_rel
3.130, 1000
2.759, 795
2.449, 471
1.656, 324
1.951, 322
1.234, 232
2.770, 224
1.526, 218
7.863, 200
1.595, 181

Atomic structure:
Cell lengths 3.9024, 3.9024, 15.7263 Å; angles 90.00, 90.00, 90.00 degrees
Positions (direct):
Pa  0.2500  0.2500  0.0758
Pa  0.7500  0.7500  0.9242
Ge  0.2500  0.2500  0.6394
Ge  0.7500  0.7500  0.3606
Sb  0.2500  0.2500  0.4197
Sb  0.2500  0.2500  0.8114
Sb  0.7500  0.7500  0.1886
Sb  0.7500  0.7500  0.5803
N  0.2500  0.7500  0.0000
N  0.7500  0.2500  0.0000

***

Record 11
Starting from DFT lattice parameters and positions (PBE), the powder XRD pattern of MnTlAg2Br8 was calculated for Cu Kα (λ = 1.5418 Å).
Intensities are scaled so that the largest is 1000.

Peak list (10 most intense, 10 to 90 degrees two-theta, most intense first)
d_spacing, I_rel
5.150, 1000
4.617, 577
3.053, 397
2.357, 381
2.051, 268
2.055, 252
3.009, 248
3.296, 225
2.419, 219
2.493, 216

Atomic structure:
Cell lengths 6.6830, 7.1774, 8.1352 Å; angles 89.86, 89.82, 83.73 degrees
Positions (direct):
Mn  0.0000  0.0000  0.0000
Tl  0.0000  0.0000  0.5000
Ag  0.4993  0.4988  0.7578
Ag  0.5007  0.5012  0.2422
Br  0.1990  0.1448  0.2047
Br  0.1991  0.1451  0.7937
Br  0.2800  0.6769  0.0000
Br  0.2996  0.6695  0.5003
Br  0.7004  0.3305  0.4997
Br  0.7200  0.3231  0.0000
Br  0.8009  0.8549  0.2063
Br  0.8010  0.8552  0.7953

***

Record 12
Starting from DFT lattice parameters and positions (PBE), the powder XRD pattern of Ac4Pr5Nd was calculated for Cu Kα (λ = 1.5418 Å).
Intensities are scaled so that the largest is 1000.

Peak list (10 most intense, 10 to 90 degrees two-theta, most intense first)
d_spacing, I_rel
2.828, 1000
3.035, 257
3.544, 250
2.976, 239
4.190, 162
2.085, 148
1.598, 144
2.031, 140
3.005, 130
2.992, 126

Atomic structure:
Cell lengths 9.1269, 9.1269, 12.1405 Å; angles 90.24, 90.24, 23.96 degrees
Positions (direct):
Ac  0.0318  0.0318  0.2495
Ac  0.3353  0.3353  0.2502
Ac  0.6647  0.6647  0.7498
Ac  0.9682  0.9682  0.7505
Pr  0.1712  0.1712  0.0402
Pr  0.1716  0.1716  0.4586
Pr  0.5000  0.5000  0.5000
Pr  0.8284  0.8284  0.5414
Pr  0.8288  0.8288  0.9598
Nd  0.5000  0.5000  0.0000